No. 1
# FeCoGe
Theoretical X-ray diffraction stick pattern, Cu Kα (weighted mean of Kα1 and Kα2). Input: a DFT-relaxed cell (GGA-PBE, the Materials Project).
Intensities are scaled so that the largest is 100.

The 7 most intense peaks (15° ≤ 2θ ≤ 90°), by angle:
d/Å, 2θ/deg, I/Imax
2.880, 31.05, 1
2.491, 36.06, 4
2.037, 44.48, 100
1.577, 58.51, 6
1.440, 64.73, 14
1.245, 76.49, 3
1.176, 81.88, 22

Atomic structure:
abc: 4.0767 4.0767 4.9813
angles: 90.00 90.00 120.00
Element x y z (fractional)
Fe 0.3333 0.6667 0.2500
Fe 0.6667 0.3333 0.7500
Co 0.0000 0.0000 0.0000
Co 0.0000 0.0000 0.5000
Ge 0.3333 0.6667 0.7500
Ge 0.6667 0.3333 0.2500

No. 2
# Ba2CaSeO6
Theoretical X-ray diffraction stick pattern, Cu Kα (weighted mean of Kα1 and Kα2). Input: a DFT-relaxed cell (GGA-PBE, the Materials Project).
Intensities are scaled so that the largest is 100.

The 10 most intense peaks (15° ≤ 2θ ≤ 90°), by angle:
d/Å, 2θ/deg, I/Imax
4.156, 21.38, 9
2.939, 30.42, 100
2.400, 37.48, 16
2.078, 43.55, 32
1.859, 49.01, 6
1.697, 54.05, 38
1.469, 63.29, 19
1.314, 71.83, 18
1.200, 79.96, 6
1.111, 87.90, 22

Atomic structure:
abc: 5.8778 5.8778 5.8778
angles: 60.00 60.00 60.00
Element x y z (fractional)
Ba 0.2500 0.2500 0.2500
Ba 0.7500 0.7500 0.7500
Ca 0.0000 0.0000 0.0000
Se 0.5000 0.5000 0.5000
O 0.2778 0.2778 0.7222
O 0.2778 0.7222 0.2778
O 0.2778 0.7222 0.7222
O 0.7222 0.2778 0.2778
O 0.7222 0.2778 0.7222
O 0.7222 0.7222 0.2778

No. 3
# Ba3P14
Theoretical X-ray diffraction stick pattern, Cu Kα (weighted mean of Kα1 and Kα2). Input: a DFT-relaxed cell (GGA-PBE, the Materials Project).
Intensities are scaled so that the largest is 100.

The 10 most intense peaks (15° ≤ 2θ ≤ 90°), by angle:
d/Å, 2θ/deg, I/Imax
5.128, 17.29, 62
4.664, 19.03, 71
4.064, 21.87, 47
3.874, 22.95, 45
3.338, 26.71, 43
3.058, 29.20, 47
2.996, 29.82, 100
2.968, 30.11, 31
2.842, 31.48, 64
2.826, 31.66, 35

Atomic structure:
abc: 6.5686 13.2501 12.2204
angles: 90.00 122.14 90.00
Element x y z (fractional)
Ba 0.0000 0.0000 0.0000
Ba 0.0000 0.5000 0.5000
Ba 0.1828 0.1528 0.3876
Ba 0.1828 0.3472 0.8876
Ba 0.8172 0.6528 0.1124
Ba 0.8172 0.8472 0.6124
P 0.0494 0.1526 0.6517
P 0.0494 0.3474 0.1517
P 0.2597 0.2243 0.1443
P 0.2597 0.2757 0.6443
P 0.2763 0.0128 0.6870
P 0.2763 0.4872 0.1870
P 0.2956 0.0880 0.8568
P 0.2956 0.4120 0.3568
P 0.3753 0.7145 0.7270
P 0.3753 0.7855 0.2270
P 0.3870 0.6822 0.5538
P 0.3870 0.8178 0.0538
P 0.4113 0.5639 0.8138
P 0.4113 0.9361 0.3138
P 0.5887 0.0639 0.6862
P 0.5887 0.4361 0.1862
P 0.6130 0.1822 0.9462
P 0.6130 0.3178 0.4462
P 0.6247 0.2145 0.7730
P 0.6247 0.2855 0.2730
P 0.7044 0.5880 0.6432
P 0.7044 0.9120 0.1432
P 0.7237 0.5128 0.8130
P 0.7237 0.9872 0.3130
P 0.7403 0.7243 0.3557
P 0.7403 0.7757 0.8557
P 0.9506 0.6526 0.8483
P 0.9506 0.8474 0.3483

No. 4
# NpSe3
Theoretical X-ray diffraction stick pattern, Cu Kα (weighted mean of Kα1 and Kα2). Input: a DFT-relaxed cell (GGA-PBE, the Materials Project).
Intensities are scaled so that the largest is 100.

The 10 most intense peaks (15° ≤ 2θ ≤ 90°), by angle:
d/Å, 2θ/deg, I/Imax
5.151, 17.22, 27
4.601, 19.29, 29
3.080, 28.99, 100
2.618, 34.25, 20
2.367, 38.01, 17
2.322, 38.78, 13
2.312, 38.96, 18
2.200, 41.03, 38
2.176, 41.50, 17
2.033, 44.57, 20

Atomic structure:
abc: 5.7047 4.0662 9.5132
angles: 90.00 97.32 90.00
Element x y z (fractional)
Np 0.2187 0.2500 0.3526
Np 0.7813 0.7500 0.6474
Se 0.0341 0.2500 0.8241
Se 0.2660 0.7500 0.5685
Se 0.3789 0.7500 0.1656
Se 0.6211 0.2500 0.8344
Se 0.7340 0.2500 0.4315
Se 0.9659 0.7500 0.1759